No. 1
The following is a calculated powder X-ray diffraction pattern of Nd2CdCu3. It was derived from a crystal structure in Alexandria, relaxed with PBE, using Cu Kα (λ = 1.5418 Å).

```
data_Nd2CdCu3
_cell_length_a 7.415
_cell_length_b 9.077
_cell_length_c 15.466
_cell_angle_alpha 90.00
_cell_angle_beta 90.00
_cell_angle_gamma 90.00
_symmetry_space_group_name_H-M 'F m m m'
_symmetry_Int_Tables_number 69
_symmetry_space_group_name_Hall '-F 2 2'
loop_
_atom_site_label
_atom_site_fract_x
_atom_site_fract_y
_atom_site_fract_z
Nd1 0.241 0.000 0.000
Nd2 0.250 0.250 0.250
Cd1 0.000 0.000 0.334
Cu1 0.000 0.000 0.161
Cu2 0.000 0.242 0.081
```

Peak list (10 most intense, 15° ≤ 2θ ≤ 90°, in order of falling intensity)
2θ 33.29, I = 100.0
2θ 40.23, I = 54.7
2θ 33.49, I = 50.2
2θ 39.72, I = 28.4
2θ 52.90, I = 26.7
2θ 65.32, I = 24.7
2θ 49.15, I = 15.1
2θ 53.45, I = 12.5
2θ 64.96, I = 12.5
2θ 68.02, I = 12.0

No. 2
The following is a calculated powder X-ray diffraction pattern of Nd3Cd4Cu2. It was derived from a crystal structure in Alexandria, relaxed with PBE, using Cu Kα (λ = 1.5418 Å).

```
data_Nd3Cd4Cu2
_cell_length_a 11.200
_cell_length_b 4.834
_cell_length_c 9.059
_cell_angle_alpha 90.00
_cell_angle_beta 118.34
_cell_angle_gamma 90.00
_symmetry_space_group_name_H-M 'C 1 2/m 1'
_symmetry_Int_Tables_number 12
loop_
_symmetry_equiv_pos_as_xyz
'x,y,z'
'-x,-y,-z'
'-x,y,-z'
'x,-y,z'
'x+1/2,y+1/2,z'
'-x+1/2,-y+1/2,-z'
'-x+1/2,y+1/2,-z'
'x+1/2,-y+1/2,z'
loop_
_atom_site_label
_atom_site_fract_x
_atom_site_fract_y
_atom_site_fract_z
Nd1 0.000 0.000 0.000
Nd2 0.177 0.500 0.648
Cd1 0.034 0.000 0.365
Cd2 0.216 0.500 0.059
Cu1 0.090 0.500 0.261
```

Peak list (10 most intense, 15° ≤ 2θ ≤ 90°, in order of falling intensity)
2θ 36.87, I = 100.0
2θ 32.96, I = 82.6
2θ 33.55, I = 60.2
2θ 37.20, I = 53.7
2θ 33.72, I = 35.5
2θ 51.10, I = 29.2
2θ 32.54, I = 29.1
2θ 64.42, I = 25.9
2θ 52.07, I = 17.5
2θ 50.24, I = 16.9

No. 3
The following is a calculated powder X-ray diffraction pattern of NdCd4Cu2. It was derived from a crystal structure in Alexandria, relaxed with PBE, using Cu Kα (λ = 1.5418 Å).

```
data_NdCd4Cu2
_cell_length_a 4.318
_cell_length_b 16.161
_cell_length_c 4.258
_cell_angle_alpha 90.00
_cell_angle_beta 90.00
_cell_angle_gamma 90.00
_symmetry_space_group_name_H-M 'C m m m'
_symmetry_Int_Tables_number 65
_symmetry_space_group_name_Hall '-C 2 2'
loop_
_atom_site_label
_atom_site_fract_x
_atom_site_fract_y
_atom_site_fract_z
Nd1 0.000 0.000 0.000
Cd1 0.000 0.176 0.500
Cd2 0.000 0.322 0.000
Cu1 0.000 0.427 0.500
```

Peak list (10 most intense, 15° ≤ 2θ ≤ 90°, in order of falling intensity)
2θ 33.93, I = 100.0
2θ 41.84, I = 19.7
2θ 42.45, I = 18.9
2θ 71.36, I = 17.9
2θ 33.26, I = 13.3
2θ 40.80, I = 12.9
2θ 61.13, I = 12.3
2θ 72.22, I = 11.5
2θ 59.86, I = 10.0
2θ 30.50, I = 6.4

No. 4
The following is a calculated powder X-ray diffraction pattern of Nd4Cd5Cu2. It was derived from a crystal structure in Alexandria, relaxed with PBE, using Cu Kα (λ = 1.5418 Å).

```
data_Nd4Cd5Cu2
_cell_length_a 7.716
_cell_length_b 3.779
_cell_length_c 9.768
_cell_angle_alpha 90.00
_cell_angle_beta 94.04
_cell_angle_gamma 90.00
_symmetry_space_group_name_H-M 'P 1 2/m 1'
_symmetry_Int_Tables_number 10
loop_
_symmetry_equiv_pos_as_xyz
'x,y,z'
'-x,-y,-z'
'-x,y,-z'
'x,-y,z'
loop_
_atom_site_label
_atom_site_fract_x
_atom_site_fract_y
_atom_site_fract_z
Nd1 0.168 0.000 0.359
Nd2 0.237 0.000 0.941
Cd1 0.186 0.500 0.654
Cd2 0.442 0.500 0.188
Cd3 0.500 0.500 0.500
Cu1 0.061 0.500 0.128
```

Peak list (10 most intense, 15° ≤ 2θ ≤ 90°, in order of falling intensity)
2θ 31.67, I = 100.0
2θ 32.63, I = 86.1
2θ 34.94, I = 83.6
2θ 33.23, I = 66.9
2θ 37.47, I = 46.5
2θ 37.31, I = 46.5
2θ 48.16, I = 44.2
2θ 36.48, I = 41.4
2θ 35.55, I = 40.4
2θ 37.95, I = 39.0

No. 5
The following is a calculated powder X-ray diffraction pattern of CdCuNi. It was derived from a crystal structure in Alexandria, relaxed with PBE, using Cu Kα (λ = 1.5418 Å).

```
data_CdCuNi
_cell_length_a 2.944
_cell_length_b 2.944
_cell_length_c 9.897
_cell_angle_alpha 90.00
_cell_angle_beta 90.00
_cell_angle_gamma 90.00
_symmetry_space_group_name_H-M 'I 4 m m'
_symmetry_Int_Tables_number 107
_symmetry_space_group_name_Hall 'I 4 -2'
loop_
_atom_site_label
_atom_site_fract_x
_atom_site_fract_y
_atom_site_fract_z
Cd1 0.000 0.000 0.000
Cu1 0.000 0.000 0.686
Ni1 0.000 0.000 0.321
```

Peak list (10 most intense, 15° ≤ 2θ ≤ 90°, in order of falling intensity)
2θ 41.09, I = 100.0
2θ 43.48, I = 44.4
2θ 78.17, I = 27.1
2θ 73.21, I = 14.1
2θ 63.17, I = 13.6
2θ 31.71, I = 12.4
2θ 89.17, I = 8.5
2θ 55.73, I = 8.4
2θ 36.31, I = 5.8
2θ 57.89, I = 5.7

No. 6
The following is a calculated powder X-ray diffraction pattern of Sc4CdCu2Ni. It was derived from a crystal structure in Alexandria, relaxed with PBE, using Cu Kα (λ = 1.5418 Å).

```
data_Sc4CdCu2Ni
_cell_length_a 4.6904
_cell_length_b 4.6904
_cell_length_c 22.8677
_cell_angle_alpha 90.00
_cell_angle_beta 90.00
_cell_angle_gamma 120.00
_symmetry_space_group_name_H-M 'R -3 m'
_symmetry_Int_Tables_number 166
_symmetry_space_group_name_Hall '-R 3 2"'
loop_
_atom_site_label
_atom_site_fract_x
_atom_site_fract_y
_atom_site_fract_z
Sc1 0.0000 0.0000 0.1157
Sc2 0.0000 0.0000 0.3680
Cd1 0.0000 0.0000 0.5000
Cu1 0.0000 0.0000 0.2442
Ni1 0.0000 0.0000 0.0000
```

Peak list (10 most intense, 15° ≤ 2θ ≤ 90°, in order of falling intensity)
2θ 38.38, I = 100.0
2θ 38.51, I = 90.9
2θ 69.47, I = 43.3
2θ 55.50, I = 29.1
2θ 26.93, I = 20.5
2θ 69.75, I = 10.7
2θ 82.21, I = 9.3
2θ 35.26, I = 9.3
2θ 82.53, I = 6.5
2θ 74.20, I = 5.5

No. 7
The following is a calculated powder X-ray diffraction pattern of Cd3CuO4. It was derived from a crystal structure in Alexandria, relaxed with PBE, using Cu Kα (λ = 1.5418 Å).

```
data_Cd3CuO4
_cell_length_a 7.178
_cell_length_b 6.155
_cell_length_c 5.667
_cell_angle_alpha 90.00
_cell_angle_beta 90.00
_cell_angle_gamma 90.00
_symmetry_space_group_name_H-M 'P m n 21'
_symmetry_Int_Tables_number 31
loop_
_symmetry_equiv_pos_as_xyz
'x,y,z'
'-x+1/2,-y,z+1/2'
'-x,y,z'
'x+1/2,-y,z+1/2'
loop_
_atom_site_label
_atom_site_fract_x
_atom_site_fract_y
_atom_site_fract_z
Cd1 0.000 0.156 0.000
Cd2 0.248 0.331 0.497
Cu1 0.000 0.829 0.499
O1 0.000 0.136 0.604
O2 0.000 0.822 0.150
O3 0.232 0.681 0.600
```

Peak list (10 most intense, 15° ≤ 2θ ≤ 90°, in order of falling intensity)
2θ 32.93, I = 100.0
2θ 31.58, I = 52.4
2θ 33.12, I = 50.3
2θ 28.79, I = 41.7
2θ 51.29, I = 29.5
2θ 57.09, I = 28.6
2θ 61.49, I = 26.9
2θ 43.26, I = 21.1
2θ 29.01, I = 19.9
2θ 62.07, I = 16.1

No. 8
The following is a calculated powder X-ray diffraction pattern of PaCdCu2O6. It was derived from a crystal structure in Alexandria, relaxed with PBE, using Cu Kα (λ = 1.5418 Å).

```
data_PaCdCu2O6
_cell_length_a 5.4793
_cell_length_b 5.4793
_cell_length_c 15.9785
_cell_angle_alpha 90.00
_cell_angle_beta 90.00
_cell_angle_gamma 120.00
_symmetry_space_group_name_H-M 'R -3'
_symmetry_Int_Tables_number 148
_symmetry_space_group_name_Hall '-R 3'
loop_
_atom_site_label
_atom_site_fract_x
_atom_site_fract_y
_atom_site_fract_z
Pa1 0.0000 0.0000 0.0000
Cd1 0.0000 0.0000 0.5000
Cu1 0.0000 0.0000 0.2525
O1 0.0044 0.6826 0.9193
```

Peak list (10 most intense, 15° ≤ 2θ ≤ 90°, in order of falling intensity)
2θ 29.22, I = 100.0
2θ 32.69, I = 60.1
2θ 21.78, I = 36.4
2θ 44.41, I = 32.2
2θ 56.22, I = 31.6
2θ 49.51, I = 22.9
2θ 58.34, I = 19.0
2θ 70.58, I = 15.7
2θ 47.62, I = 14.3
2θ 19.51, I = 14.3